(1)
The following is a simulated powder X-ray diffraction pattern of TeMoWSe2S. It was derived from a DFT-relaxed cell (GGA-PBE, the Materials Project), using λ = 1.5418 Å (Cu Kα).
Lines closer than 0.1° are merged.

The 10 most intense peaks (10 to 90 degrees two-theta), sorted by position:
d (Å), Rel. int.
7.616, 100
6.346, 22
2.895, 39
2.707, 15
2.474, 81
2.305, 15
2.060, 46
1.983, 15
1.672, 27
1.386, 13

Cell and atoms:
Unit cell a=3.3446 b=3.3446 c=38.0776 alpha=90.00 beta=90.00 gamma=120.00
Space group P3m1 (No. 156)
Unique sites:
Te (0.0000, 0.0000, 0.0000)
Te (0.0000, 0.0000, 0.0996)
Mo (0.6667, 0.3333, 0.0498)
Mo (0.6667, 0.3333, 0.4256)
W (0.0000, 0.0000, 0.2378)
W (0.0000, 0.0000, 0.6135)
Se (0.6667, 0.3333, 0.1938)
Se (0.6667, 0.3333, 0.2818)
Se (0.6667, 0.3333, 0.5695)
Se (0.6667, 0.3333, 0.6575)
S (0.0000, 0.0000, 0.3858)
S (0.0000, 0.0000, 0.4654)

=====

(2)
The following is a simulated powder X-ray diffraction pattern of Te2MoW3Se2S4. It was derived from a DFT-relaxed cell (GGA-PBE, the Materials Project), using λ = 1.5418 Å (Cu Kα).
Lines closer than 0.1° are merged.

The 10 most intense peaks (10 to 90 degrees two-theta), sorted by position:
d (Å), Rel. int.
7.531, 100
6.275, 26
2.862, 35
2.677, 14
2.447, 72
2.280, 12
2.037, 37
1.961, 13
1.654, 22
1.370, 11

Cell and atoms:
Unit cell a=3.3077 b=3.3077 c=37.6526 alpha=90.00 beta=90.00 gamma=120.00
Space group P3m1 (No. 156)
Unique sites:
Te (0.0000, 0.0000, 0.0000)
Te (0.0000, 0.0000, 0.1022)
Mo (0.0000, 0.0000, 0.4875)
W (0.0000, 0.0000, 0.8632)
W (0.3333, 0.6667, 0.0511)
W (0.3333, 0.6667, 0.6753)
Se (0.3333, 0.6667, 0.4428)
Se (0.3333, 0.6667, 0.5321)
S (0.0000, 0.0000, 0.6346)
S (0.0000, 0.0000, 0.7161)
S (0.3333, 0.6667, 0.8225)
S (0.3333, 0.6667, 0.9039)

=====

(3)
The following is a simulated powder X-ray diffraction pattern of Te2Mo3WSe2S4. It was derived from a DFT-relaxed cell (GGA-PBE, the Materials Project), using λ = 1.5418 Å (Cu Kα).
Lines closer than 0.1° are merged.

The 10 most intense peaks (10 to 90 degrees two-theta), sorted by position:
d (Å), Rel. int.
7.525, 100
6.271, 14
2.863, 49
2.678, 15
2.447, 88
2.279, 13
2.036, 45
1.654, 29
1.370, 14
1.215, 14

Cell and atoms:
Unit cell a=3.3085 b=3.3085 c=37.6236 alpha=90.00 beta=90.00 gamma=120.00
Space group P3m1 (No. 156)
Unique sites:
Te (0.0000, 0.0000, 0.0000)
Te (0.0000, 0.0000, 0.1017)
Mo (0.0000, 0.0000, 0.2388)
Mo (0.0000, 0.0000, 0.8630)
Mo (0.3333, 0.6667, 0.0509)
W (0.3333, 0.6667, 0.4266)
Se (0.0000, 0.0000, 0.3817)
Se (0.0000, 0.0000, 0.4715)
S (0.3333, 0.6667, 0.1982)
S (0.3333, 0.6667, 0.2793)
S (0.3333, 0.6667, 0.8224)
S (0.3333, 0.6667, 0.9035)

=====

(4)
The following is a simulated powder X-ray diffraction pattern of Te2Mo3WSe4S2. It was derived from a DFT-relaxed cell (GGA-PBE, the Materials Project), using λ = 1.5418 Å (Cu Kα).
Lines closer than 0.1° are merged.

The 10 most intense peaks (10 to 90 degrees two-theta), sorted by position:
d (Å), Rel. int.
7.603, 100
6.335, 21
2.893, 56
2.705, 13
2.472, 88
2.057, 51
1.980, 17
1.671, 30
1.385, 14
1.228, 15

Cell and atoms:
Unit cell a=3.3428 b=3.3428 c=38.0126 alpha=90.00 beta=90.00 gamma=120.00
Space group P3m1 (No. 156)
Unique sites:
Te (0.0000, 0.0000, 0.0000)
Te (0.0000, 0.0000, 0.0997)
Mo (0.0000, 0.0000, 0.4862)
Mo (0.3333, 0.6667, 0.0499)
Mo (0.3333, 0.6667, 0.6742)
W (0.0000, 0.0000, 0.8620)
Se (0.0000, 0.0000, 0.6303)
Se (0.0000, 0.0000, 0.7180)
Se (0.3333, 0.6667, 0.4424)
Se (0.3333, 0.6667, 0.5301)
S (0.3333, 0.6667, 0.8219)
S (0.3333, 0.6667, 0.9021)

=====

(5)
The following is a simulated powder X-ray diffraction pattern of Te2MoWSeS. It was derived from a DFT-relaxed cell (GGA-PBE, the Materials Project), using λ = 1.5418 Å (Cu Kα).
Lines closer than 0.1° are merged.

The 10 most intense peaks (10 to 90 degrees two-theta), sorted by position:
d (Å), Rel. int.
8.430, 100
7.025, 19
2.939, 33
2.777, 13
2.568, 52
2.178, 48
2.104, 16
1.697, 23
1.664, 9
1.339, 10

Cell and atoms:
Unit cell a=3.3956 b=3.3956 c=42.1496 alpha=90.00 beta=90.00 gamma=120.00
Space group P3m1 (No. 156)
Unique sites:
Te (0.0000, 0.0000, 0.0000)
Te (0.0000, 0.0000, 0.0894)
Te (0.3333, 0.6667, 0.8062)
Te (0.3333, 0.6667, 0.8950)
Mo (0.0000, 0.0000, 0.2307)
Mo (0.0000, 0.0000, 0.8506)
W (0.3333, 0.6667, 0.0447)
W (0.3333, 0.6667, 0.4177)
Se (0.3333, 0.6667, 0.1916)
Se (0.3333, 0.6667, 0.2698)
S (0.0000, 0.0000, 0.3819)
S (0.0000, 0.0000, 0.4534)

=====

(6)
The following is a simulated powder X-ray diffraction pattern of Te2MoW3Se2S4. It was derived from a DFT-relaxed cell (GGA-PBE, the Materials Project), using λ = 1.5418 Å (Cu Kα).
Lines closer than 0.1° are merged.

The 10 most intense peaks (10 to 90 degrees two-theta), sorted by position:
d (Å), Rel. int.
7.532, 100
6.277, 20
2.863, 39
2.677, 15
2.447, 77
2.280, 12
2.037, 39
1.961, 13
1.653, 23
1.370, 12

Cell and atoms:
Unit cell a=3.3072 b=3.3072 c=37.6604 alpha=90.00 beta=90.00 gamma=120.00
Space group P3m1 (No. 156)
Unique sites:
Te (0.0000, 0.0000, 0.0000)
Te (0.0000, 0.0000, 0.1022)
Mo (0.3333, 0.6667, 0.6753)
W (0.0000, 0.0000, 0.4874)
W (0.0000, 0.0000, 0.8632)
W (0.3333, 0.6667, 0.0511)
Se (0.0000, 0.0000, 0.6307)
Se (0.0000, 0.0000, 0.7200)
S (0.3333, 0.6667, 0.4467)
S (0.3333, 0.6667, 0.5282)
S (0.3333, 0.6667, 0.8225)
S (0.3333, 0.6667, 0.9039)